# 1
Structure and theoretical PXRD pattern of AlInAg4 (a PBE-relaxed structure; Cu Kα (λ = 1.5418 Å)).

Most intense lines, 5° ≤ 2θ ≤ 70°, sorted by position:
2θ (°)  d_spacing  I (rel.)
8.19  10.793  4
27.96  3.192  3
29.18  3.061  5
32.60  2.747  16
37.68  2.388  100
39.95  2.257  47
41.85  2.159  6
50.75  1.799  7
57.78  1.596  15
59.23  1.560  8
66.47  1.407  13
67.93  1.380  4

Structural model:
Cell: 3.192 3.192 10.793 Å, 90.00 90.00 90.00°
Positions (direct):
Al: 0.000 0.000 0.000
In: 0.500 0.500 0.500
Ag: 0.000 0.000 0.317
Ag: 0.000 0.000 0.683
Ag: 0.500 0.500 0.144
Ag: 0.500 0.500 0.856

***

# 2
Structure and theoretical PXRD pattern of Tb7Ga2Sn2 (a PBE-relaxed structure; Cu Kα (λ = 1.5418 Å)).

Most intense lines, 5° ≤ 2θ ≤ 70°, sorted by position:
2θ (°)  d_spacing  I (rel.)
25.91  3.438  49
26.96  3.307  52
28.43  3.140  76
29.44  3.034  24
32.74  2.735  93
34.59  2.593  27
35.71  2.514  63
36.78  2.443  100
44.84  2.021  21
45.35  2.000  29
47.44  1.917  23
55.79  1.648  20

Structural model:
Cell: 6.683 6.683 7.780 Å, 90.00 90.00 110.01°
Positions (direct):
Tb: 0.000 0.000 0.000
Tb: 0.000 0.500 0.295
Tb: 0.000 0.500 0.705
Tb: 0.500 0.000 0.295
Tb: 0.500 0.000 0.705
Tb: 0.500 0.500 0.282
Tb: 0.500 0.500 0.718
Ga: 0.168 0.168 0.500
Ga: 0.832 0.832 0.500
Sn: 0.299 0.701 0.000
Sn: 0.701 0.299 0.000